Diffraction record for U2Cu5Pb2Se6O30. The PXRD pattern is computed, not measured: it uses a DFT-relaxed cell (PBE, the Materials Project) and Cu Kα.
Kinematic intensities with the Lorentz-polarization factor, no thermal factor.

Main lines, in order of rising 2θ (10 to 90 degrees two-theta):
| hkl | d/Å | two_theta | I/Imax |
| --- | --- | --- | --- |
| 0 0 2 | 5.915 | 15.0 | 429 |
| 1 0 1 | 5.154 | 17.2 | 523 |
| 0 2 1 | 4.808 | 18.5 | 395 |
| 0 2 -1 | 4.735 | 18.7 | 397 |
| 1 -1 1 | 4.538 | 19.6 | 555 |
| 1 1 -1 | 4.238 | 21.0 | 418 |
| 1 -2 0 | 3.654 | 24.4 | 497 |
| 1 1 3 | 3.302 | 27.0 | 667 |
| 1 2 -2 | 3.025 | 29.5 | 497 |
| 1 3 0 | 2.965 | 30.1 | 734 |
| 1 0 -3 | 2.956 | 30.2 | 1000 |
| 1 0 4 | 2.770 | 32.3 | 448 |

Crystal structure
```
data_U2Cu5Pb2Se6O30
_cell_length_a 5.382
_cell_length_b 10.440
_cell_length_c 11.979
_cell_angle_alpha 88.44
_cell_angle_beta 81.03
_cell_angle_gamma 87.59
_symmetry_space_group_name_H-M 'P -1'
_symmetry_Int_Tables_number 2
loop_
_symmetry_equiv_pos_as_xyz
'x,y,z'
'-x,-y,-z'
loop_
_atom_site_label
_atom_site_fract_x
_atom_site_fract_y
_atom_site_fract_z
U1 0.244 0.414 0.252
Cu1 0.000 0.000 0.500
Cu2 0.307 0.059 0.950
Cu3 0.450 0.071 0.605
Pb1 0.136 0.802 0.217
Se1 0.141 0.871 0.782
Se2 0.247 0.665 0.482
Se3 0.309 0.379 0.954
O1 0.022 0.354 0.425
O2 0.023 0.528 0.813
O3 0.037 0.992 0.883
O4 0.128 0.970 0.661
O5 0.132 0.204 0.217
O6 0.171 0.609 0.357
O7 0.174 0.230 0.939
O8 0.214 0.830 0.447
O9 0.278 0.214 0.673
O10 0.327 0.066 0.462
O11 0.416 0.899 0.992
O12 0.434 0.620 0.153
O13 0.456 0.362 0.072
O14 0.476 0.638 0.689
O15 0.490 0.915 0.245
```